Entry 1:
For Sr3LiCl7, DFT lattice parameters and positions (GGA-PBE) gives the computed powder X-ray diffraction pattern in this record (CuKα).
No peak broadening, texture or thermal motion is included.

Structural model:
Unit cell a=8.4045 b=8.4045 c=9.4506 alpha=90.00 beta=90.00 gamma=107.41
Fractional coordinates of all 22 atoms:
Sr: 0.0132 0.0132 0.0000
Sr: 0.0549 0.5013 0.2519
Sr: 0.4987 0.9451 0.2481
Sr: 0.5013 0.0549 0.7481
Sr: 0.9451 0.4987 0.7519
Sr: 0.9868 0.9868 0.5000
Li: 0.4664 0.4664 0.5000
Li: 0.5336 0.5336 0.0000
Cl: 0.1356 0.8644 0.2500
Cl: 0.1360 0.8640 0.7500
Cl: 0.1448 0.3939 0.9727
Cl: 0.1525 0.3969 0.5319
Cl: 0.3939 0.1448 0.0273
Cl: 0.3969 0.1525 0.4681
Cl: 0.4237 0.5763 0.2500
Cl: 0.5763 0.4237 0.7500
Cl: 0.6031 0.8475 0.9681
Cl: 0.6061 0.8552 0.5273
Cl: 0.8475 0.6031 0.0319
Cl: 0.8552 0.6061 0.4727
Cl: 0.8640 0.1360 0.2500
Cl: 0.8644 0.1356 0.7500

Peak list (10 most intense, 10 to 90 degrees two-theta, low angle first)
2θ 11.03, I = 32; 2θ 22.17, I = 70; 2θ 22.95, I = 62; 2θ 28.78, I = 24; 2θ 36.11, I = 30; 2θ 37.33, I = 100; 2θ 38.09, I = 30; 2θ 43.22, I = 22; 2θ 44.50, I = 30; 2θ 53.49, I = 15

---

Entry 2:
For SrLiCl2, DFT lattice parameters and positions (GGA-PBE) gives the computed powder X-ray diffraction pattern in this record (CuKα).
No peak broadening, texture or thermal motion is included.

Structural model:
Unit cell a=4.2007 b=4.2311 c=7.6387 alpha=90.00 beta=105.68 gamma=90.00
Fractional coordinates of all 4 atoms:
Sr: 0.0000 0.0000 0.0000
Li: 0.7280 0.5000 0.4654
Cl: 0.1364 0.5000 0.2786
Cl: 0.8023 0.0000 0.6162

Peak list (10 most intense, 10 to 90 degrees two-theta, low angle first)
2θ 12.03, I = 29; 2θ 21.00, I = 24; 2θ 22.01, I = 100; 2θ 24.26, I = 56; 2θ 30.60, I = 51; 2θ 32.25, I = 41; 2θ 36.66, I = 15; 2θ 43.10, I = 35; 2θ 43.29, I = 21; 2θ 48.57, I = 26

---

Entry 3:
For SrLiTbCl6, DFT lattice parameters and positions (GGA-PBE) gives the computed powder X-ray diffraction pattern in this record (CuKα).
No peak broadening, texture or thermal motion is included.

Structural model:
Unit cell a=6.7657 b=6.7657 c=12.7480 alpha=90.00 beta=90.00 gamma=120.00
Fractional coordinates of all 18 atoms:
Sr: 0.0000 0.0000 0.0000
Sr: 0.0000 0.0000 0.5000
Li: 0.3333 0.6667 0.2500
Li: 0.6667 0.3333 0.7500
Tb: 0.3333 0.6667 0.7500
Tb: 0.6667 0.3333 0.2500
Cl: 0.0053 0.3571 0.1337
Cl: 0.0053 0.6482 0.3663
Cl: 0.3518 0.3571 0.3663
Cl: 0.3518 0.9947 0.1337
Cl: 0.3571 0.0053 0.6337
Cl: 0.3571 0.3518 0.8663
Cl: 0.6429 0.6482 0.1337
Cl: 0.6429 0.9947 0.3663
Cl: 0.6482 0.0053 0.8663
Cl: 0.6482 0.6429 0.6337
Cl: 0.9947 0.3518 0.6337
Cl: 0.9947 0.6429 0.8663

Peak list (10 most intense, 10 to 90 degrees two-theta, low angle first)
2θ 16.65, I = 90; 2θ 20.59, I = 100; 2θ 25.90, I = 35; 2θ 29.90, I = 52; 2θ 31.33, I = 22; 2θ 33.67, I = 27; 2θ 38.82, I = 83; 2θ 41.38, I = 20; 2θ 43.25, I = 29; 2θ 46.50, I = 39

---

Entry 4:
For Li4Tb2Cl9, DFT lattice parameters and positions (GGA-PBE) gives the computed powder X-ray diffraction pattern in this record (CuKα).
No peak broadening, texture or thermal motion is included.

Structural model:
Unit cell a=6.6515 b=6.6515 c=17.8755 alpha=90.00 beta=90.00 gamma=120.00
Fractional coordinates of all 30 atoms:
Li: 0.3333 0.6667 0.1686
Li: 0.3333 0.6667 0.4845
Li: 0.3333 0.6667 0.6686
Li: 0.3333 0.6667 0.9845
Li: 0.6667 0.3333 0.0155
Li: 0.6667 0.3333 0.3314
Li: 0.6667 0.3333 0.5155
Li: 0.6667 0.3333 0.8314
Tb: 0.0000 0.0000 0.1560
Tb: 0.0000 0.0000 0.3440
Tb: 0.0000 0.0000 0.6560
Tb: 0.0000 0.0000 0.8440
Cl: 0.0000 0.3301 0.2500
Cl: 0.0000 0.6699 0.7500
Cl: 0.0211 0.3627 0.5832
Cl: 0.0211 0.6584 0.0832
Cl: 0.3301 0.0000 0.2500
Cl: 0.3301 0.3301 0.7500
Cl: 0.3416 0.3627 0.0832
Cl: 0.3416 0.9789 0.5832
Cl: 0.3627 0.0211 0.9168
Cl: 0.3627 0.3416 0.4168
Cl: 0.6373 0.6584 0.5832
Cl: 0.6373 0.9789 0.0832
Cl: 0.6584 0.0211 0.4168
Cl: 0.6584 0.6373 0.9168
Cl: 0.6699 0.0000 0.7500
Cl: 0.6699 0.6699 0.2500
Cl: 0.9789 0.3416 0.9168
Cl: 0.9789 0.6373 0.4168

Peak list (10 most intense, 10 to 90 degrees two-theta, low angle first)
2θ 15.38, I = 100; 2θ 18.32, I = 29; 2θ 25.22, I = 36; 2θ 30.79, I = 36; 2θ 31.05, I = 24; 2θ 33.59, I = 18; 2θ 33.87, I = 31; 2θ 40.66, I = 46; 2θ 41.47, I = 20; 2θ 47.34, I = 27

---

Entry 5:
For LiTbCl4, DFT lattice parameters and positions (GGA-PBE) gives the computed powder X-ray diffraction pattern in this record (CuKα).
No peak broadening, texture or thermal motion is included.

Structural model:
Unit cell a=6.5966 b=3.9663 c=6.7257 alpha=90.00 beta=96.00 gamma=90.00
Fractional coordinates of all 6 atoms:
Li: 0.0000 0.0000 0.0000
Tb: 0.0000 0.5000 0.5000
Cl: 0.2005 0.5000 0.1843
Cl: 0.2278 0.0000 0.6788
Cl: 0.7722 0.0000 0.3212
Cl: 0.7995 0.5000 0.8157

Peak list (10 most intense, 10 to 90 degrees two-theta, low angle first)
2θ 13.24, I = 62; 2θ 13.50, I = 100; 2θ 17.92, I = 29; 2θ 19.92, I = 22; 2θ 26.26, I = 29; 2θ 28.67, I = 27; 2θ 30.16, I = 59; 2θ 36.30, I = 19; 2θ 39.10, I = 27; 2θ 46.75, I = 27

---

Entry 6:
For Li3TcCl8, DFT lattice parameters and positions (GGA-PBE) gives the computed powder X-ray diffraction pattern in this record (CuKα).
No peak broadening, texture or thermal motion is included.

Structural model:
Unit cell a=6.3996 b=6.3996 c=7.4124 alpha=90.00 beta=90.00 gamma=108.20
Fractional coordinates of all 12 atoms:
Li: 0.0000 0.0000 0.0000
Li: 0.0000 0.5000 0.8101
Li: 0.5000 0.0000 0.1899
Tc: 0.0000 0.0000 0.5000
Cl: 0.2173 0.2293 0.7241
Cl: 0.2237 0.7763 0.5000
Cl: 0.2293 0.2173 0.2759
Cl: 0.2338 0.7662 0.0000
Cl: 0.7662 0.2338 0.0000
Cl: 0.7707 0.7827 0.2759
Cl: 0.7763 0.2237 0.5000
Cl: 0.7827 0.7707 0.7241

Peak list (10 most intense, 10 to 90 degrees two-theta, low angle first)
2θ 11.94, I = 44; 2θ 14.57, I = 100; 2θ 18.88, I = 52; 2θ 20.91, I = 29; 2θ 28.20, I = 18; 2θ 29.38, I = 21; 2θ 29.63, I = 21; 2θ 34.00, I = 77; 2θ 34.61, I = 36; 2θ 49.30, I = 43

---

Entry 7:
For LiTcCl, DFT lattice parameters and positions (GGA-PBE) gives the computed powder X-ray diffraction pattern in this record (CuKα).
No peak broadening, texture or thermal motion is included.

Structural model:
Unit cell a=2.9480 b=2.9480 c=6.0219 alpha=90.00 beta=90.00 gamma=120.00
Fractional coordinates of all 3 atoms:
Li: 0.0000 0.0000 0.0000
Tc: 0.3333 0.6667 0.3706
Cl: 0.6667 0.3333 0.6829

Peak list (10 most intense, 10 to 90 degrees two-theta, low angle first)
2θ 14.71, I = 100; 2θ 29.67, I = 14; 2θ 35.15, I = 32; 2θ 38.29, I = 93; 2θ 45.17, I = 14; 2θ 46.64, I = 55; 2θ 58.49, I = 15; 2θ 63.07, I = 15; 2θ 72.95, I = 12; 2θ 80.91, I = 14

---

Entry 8:
For Li2TlTcCl8, DFT lattice parameters and positions (GGA-PBE) gives the computed powder X-ray diffraction pattern in this record (CuKα).
No peak broadening, texture or thermal motion is included.

Structural model:
Unit cell a=6.0316 b=6.2188 c=7.9065 alpha=89.98 beta=89.94 gamma=85.42
Fractional coordinates of all 12 atoms:
Li: 0.0012 0.0006 0.2510
Li: 0.9988 0.9994 0.7490
Tl: 0.5000 0.5000 0.5000
Tc: 0.5000 0.5000 0.0000
Cl: 0.1958 0.8335 0.5001
Cl: 0.2273 0.8035 0.0000
Cl: 0.2985 0.3341 0.2149
Cl: 0.2989 0.3341 0.7854
Cl: 0.7011 0.6659 0.2146
Cl: 0.7015 0.6659 0.7851
Cl: 0.7727 0.1965 0.0000
Cl: 0.8042 0.1665 0.4999

Peak list (10 most intense, 10 to 90 degrees two-theta, low angle first)
2θ 14.29, I = 98; 2θ 14.73, I = 89; 2θ 19.73, I = 67; 2θ 21.40, I = 50; 2θ 22.49, I = 35; 2θ 30.09, I = 100; 2θ 33.57, I = 36; 2θ 39.50, I = 31; 2θ 49.79, I = 27; 2θ 51.11, I = 29